No. 1
Tb3Y6ThSc2: theoretical XRD peak list (CuKα), based on the PBE geometry in Alexandria.
Lines closer than 0.1° are merged.

Main lines, low angle first (2θ from 10° to 90°):
two_theta, I (rel.)
30.97, 35
31.16, 100
36.08, 67
51.83, 23
52.07, 23
61.61, 14
61.83, 28
61.94, 14

Cell and atoms:
abc: 6.0842 6.0842 11.7245
angles: 94.96 94.96 119.99
Element x y z (fractional)
Tb 0.0000 0.0000 0.0000
Tb 0.3325 0.6675 0.0000
Tb 0.6675 0.3325 0.0000
Y 0.0849 0.4179 0.2548
Y 0.2490 0.2490 0.7451
Y 0.4179 0.0849 0.2548
Y 0.5821 0.9151 0.7452
Y 0.7510 0.7510 0.2549
Y 0.9151 0.5821 0.7452
Th 0.5000 0.5000 0.5000
Sc 0.1669 0.8331 0.5000
Sc 0.8331 0.1669 0.5000

***

No. 2
Tb2ScTl: theoretical XRD peak list (CuKα), based on the PBE geometry in Alexandria.
Lines closer than 0.1° are merged.

Main lines, low angle first (2θ from 10° to 90°):
two_theta, I (rel.)
24.42, 18
32.27, 100
33.11, 45
33.46, 91
33.95, 47
46.20, 21
48.16, 32
59.70, 17

Cell and atoms:
abc: 6.5341 5.2806 6.6195
angles: 90.00 99.98 90.00
Element x y z (fractional)
Tb 0.0686 0.2500 0.3486
Tb 0.2998 0.2500 0.8671
Tb 0.7002 0.7500 0.1329
Tb 0.9314 0.7500 0.6514
Sc 0.4155 0.7500 0.5720
Sc 0.5845 0.2500 0.4280
Tl 0.2176 0.7500 0.1268
Tl 0.7824 0.2500 0.8732

***

No. 3
Tb3Sc2Tl6: theoretical XRD peak list (CuKα), based on the PBE geometry in Alexandria.
Lines closer than 0.1° are merged.

Main lines, low angle first (2θ from 10° to 90°):
two_theta, I (rel.)
12.59, 29
29.71, 100
31.82, 31
33.02, 45
37.21, 70
38.27, 68
50.59, 35
68.49, 24

Cell and atoms:
abc: 14.4506 14.4506 14.4506
angles: 161.27 161.27 26.61
Element x y z (fractional)
Tb 0.0000 0.0000 0.0000
Tb 0.1970 0.1970 0.0000
Tb 0.8030 0.8030 0.0000
Sc 0.4493 0.4493 0.0000
Sc 0.5507 0.5507 0.0000
Tl 0.1122 0.6122 0.5000
Tl 0.3060 0.3060 0.0000
Tl 0.3878 0.8878 0.5000
Tl 0.6122 0.1122 0.5000
Tl 0.6940 0.6940 0.0000
Tl 0.8878 0.3878 0.5000

***

No. 4
Tb6Sc3Tl: theoretical XRD peak list (CuKα), based on the PBE geometry in Alexandria.
Lines closer than 0.1° are merged.

Main lines, low angle first (2θ from 10° to 90°):
two_theta, I (rel.)
31.21, 80
32.18, 80
32.80, 81
32.94, 60
34.20, 100
38.31, 46
51.12, 28
53.55, 25

Cell and atoms:
abc: 12.4558 3.4232 13.8234
angles: 90.00 100.44 90.00
Element x y z (fractional)
Tb 0.0070 0.2500 0.3123
Tb 0.1562 0.2500 0.8848
Tb 0.2426 0.7500 0.3042
Tb 0.2769 0.7500 0.7166
Tb 0.3107 0.7500 0.0777
Tb 0.3798 0.2500 0.5275
Tb 0.6202 0.7500 0.4725
Tb 0.6893 0.2500 0.9223
Tb 0.7231 0.2500 0.2834
Tb 0.7574 0.2500 0.6958
Tb 0.8438 0.7500 0.1152
Tb 0.9930 0.7500 0.6877
Sc 0.0770 0.2500 0.0955
Sc 0.1274 0.7500 0.5021
Sc 0.4258 0.2500 0.9040
Sc 0.5742 0.7500 0.0960
Sc 0.8726 0.2500 0.4979
Sc 0.9230 0.7500 0.9045
Tl 0.4658 0.2500 0.2782
Tl 0.5342 0.7500 0.7218

***

No. 5
Tb8Sc2Tl: theoretical XRD peak list (CuKα), based on the PBE geometry in Alexandria.
Lines closer than 0.1° are merged.

Main lines, low angle first (2θ from 10° to 90°):
two_theta, I (rel.)
31.58, 100
36.27, 17
36.66, 17
36.97, 17
62.33, 14
62.85, 14
63.27, 14
65.95, 12

Cell and atoms:
abc: 9.1520 9.1520 7.8189
angles: 105.45 105.45 31.08
Element x y z (fractional)
Tb 0.0469 0.0469 0.2232
Tb 0.1383 0.1383 0.6863
Tb 0.3181 0.3181 0.5880
Tb 0.4059 0.4059 0.0523
Tb 0.5941 0.5941 0.9477
Tb 0.6819 0.6819 0.4120
Tb 0.8617 0.8617 0.3137
Tb 0.9531 0.9531 0.7768
Sc 0.2244 0.2244 0.1333
Sc 0.7756 0.7756 0.8667
Tl 0.5000 0.5000 0.5000

***

No. 6
Tb7Sc2Tl2: theoretical XRD peak list (CuKα), based on the PBE geometry in Alexandria.
Lines closer than 0.1° are merged.

Main lines, low angle first (2θ from 10° to 90°):
two_theta, I (rel.)
25.96, 21
31.19, 39
31.63, 37
32.37, 100
33.07, 16
34.21, 24
36.44, 23
57.84, 24

Cell and atoms:
abc: 11.1030 11.1030 11.1030
angles: 161.52 54.70 129.01
Element x y z (fractional)
Tb 0.0000 0.0000 0.0000
Tb 0.3089 0.6513 0.6576
Tb 0.3298 0.4551 0.8746
Tb 0.5805 0.4551 0.1254
Tb 0.6470 0.2774 0.3695
Tb 0.9079 0.2774 0.6305
Tb 0.9937 0.6513 0.3424
Sc 0.3236 0.8236 0.5000
Sc 0.6451 0.6451 0.0000
Tl 0.1823 0.9372 0.2451
Tl 0.6921 0.9372 0.7549

***

Please write out number 5 again, unchanged.
Tb8Sc2Tl: theoretical XRD peak list (CuKα), based on the PBE geometry in Alexandria.
Lines closer than 0.1° are merged.

Main lines, low angle first (2θ from 10° to 90°):
two_theta, I (rel.)
31.58, 100
36.27, 17
36.66, 17
36.97, 17
62.33, 14
62.85, 14
63.27, 14
65.95, 12

Cell and atoms:
abc: 9.1520 9.1520 7.8189
angles: 105.45 105.45 31.08
Element x y z (fractional)
Tb 0.0469 0.0469 0.2232
Tb 0.1383 0.1383 0.6863
Tb 0.3181 0.3181 0.5880
Tb 0.4059 0.4059 0.0523
Tb 0.5941 0.5941 0.9477
Tb 0.6819 0.6819 0.4120
Tb 0.8617 0.8617 0.3137
Tb 0.9531 0.9531 0.7768
Sc 0.2244 0.2244 0.1333
Sc 0.7756 0.7756 0.8667
Tl 0.5000 0.5000 0.5000